Diffraction record for U2Nb6O21. The XRD peak list is calculated, not measured: it uses a structure optimized by DFT (PBE) and Cu Kα, 1.54184 Å.
Peak positions follow from Bragg's law for the DFT cell and can differ from measured ones.

Cell and atoms:
```
data_U2Nb6O21
_chemical_formula_sum 'U8 Nb24 O84'
_symmetry_space_group_name_H-M 'C 1 2/c 1'
_symmetry_Int_Tables_number 15
_cell_length_a 10.454
_cell_length_b 10.725
_cell_length_c 16.489
_cell_angle_alpha 90.00
_cell_angle_beta 107.55
_cell_angle_gamma 90.00
loop_
_symmetry_equiv_pos_as_xyz
'x,y,z'
'-x,-y,-z'
'-x,y,-z+1/2'
'x,-y,z+1/2'
'x+1/2,y+1/2,z'
'-x+1/2,-y+1/2,-z'
'-x+1/2,y+1/2,-z+1/2'
'x+1/2,-y+1/2,z+1/2'
loop_
_atom_site_label
_atom_site_type_symbol
_atom_site_fract_x
_atom_site_fract_y
_atom_site_fract_z
_atom_site_occupancy
U1 U 0.164 0.002 0.331 1
Nb1 Nb 0.000 0.000 0.000 1
Nb2 Nb 0.078 0.256 0.166 1
Nb3 Nb 0.172 0.490 0.831 1
Nb4 Nb 0.250 0.250 0.000 1
O1 O 0.000 0.086 0.750 1
O2 O 0.000 0.152 0.250 1
O3 O 0.000 0.445 0.750 1
O4 O 0.024 0.118 0.410 1
O5 O 0.070 0.359 0.350 1
O6 O 0.117 0.110 0.947 1
O7 O 0.150 0.306 0.076 1
O8 O 0.153 0.370 0.911 1
O9 O 0.165 0.056 0.585 1
O10 O 0.200 0.415 0.596 1
O11 O 0.213 0.389 0.231 1
O12 O 0.220 0.115 0.226 1
```

Largest 8 diffraction maxima, low angle first, 15° ≤ 2θ ≤ 90°:
| d (Å) | 2theta | I (rel.) | hkl |
| --- | --- | --- | --- |
| 5.362 | 16.53 | 45 | 0 2 0 |
| 3.149 | 28.34 | 21 | 1 1 -5 |
| 3.063 | 29.16 | 96 | 2 2 2 |
| 3.029 | 29.49 | 100 | 2 2 -4 |
| 2.682 | 33.41 | 26 | 0 4 0 |
| 2.617 | 34.27 | 37 | 0 0 6 |
| 1.873 | 48.62 | 59 | 4 4 -2 |
| 1.612 | 57.14 | 16 | 2 6 2 |

Diffraction record for HfMg14Co. The XRD peak list is calculated, not measured: it uses a structure optimized by DFT (PBE) and Cu Kα, 1.54184 Å.
Peak positions follow from Bragg's law for the DFT cell and can differ from measured ones.

Cell and atoms:
```
data_HfMg14Co
_chemical_formula_sum 'Hf1 Mg14 Co1'
_symmetry_space_group_name_H-M 'P -6 m 2'
_symmetry_Int_Tables_number 187
_symmetry_space_group_name_Hall 'P -6 2'
_cell_length_a 6.2952
_cell_length_b 6.2952
_cell_length_c 10.0176
_cell_angle_alpha 90.00
_cell_angle_beta 90.00
_cell_angle_gamma 120.00
loop_
_atom_site_label
_atom_site_type_symbol
_atom_site_fract_x
_atom_site_fract_y
_atom_site_fract_z
_atom_site_occupancy
Hf1 Hf 0.0000 0.0000 0.0000 1
Mg1 Mg 0.0091 0.5046 0.0000 1
Mg2 Mg 0.1595 0.3190 0.2616 1
Mg3 Mg 0.5021 0.0042 0.5000 1
Mg4 Mg 0.6667 0.3333 0.2429 1
Co1 Co 0.0000 0.0000 0.5000 1
```

Largest 8 diffraction maxima, low angle first, 15° ≤ 2θ ≤ 90°:
| d (Å) | 2theta | I (rel.) | hkl |
| --- | --- | --- | --- |
| 5.452 | 16.26 | 54 | 1 0 0 |
| 4.789 | 18.53 | 25 | 1 0 1 |
| 3.688 | 24.13 | 36 | 1 0 2 |
| 2.726 | 32.86 | 30 | 2 0 0 |
| 2.504 | 35.86 | 24 | 0 0 4 |
| 2.394 | 37.57 | 100 | 2 0 2 |
| 1.844 | 49.42 | 19 | 2 0 4 |
| 1.424 | 65.57 | 19 | 2 0 6 |

Diffraction record for CaRhO3. The XRD peak list is calculated, not measured: it uses a structure optimized by DFT (PBE) and Cu Kα, 1.54184 Å.
Peak positions follow from Bragg's law for the DFT cell and can differ from measured ones.

Cell and atoms:
```
data_CaRhO3
_chemical_formula_sum 'Ca1 Rh1 O3'
_symmetry_space_group_name_H-M 'P m -3 m'
_symmetry_Int_Tables_number 221
_symmetry_space_group_name_Hall '-P 4 2 3'
_cell_length_a 3.954
_cell_length_b 3.954
_cell_length_c 3.954
_cell_angle_alpha 90.00
_cell_angle_beta 90.00
_cell_angle_gamma 90.00
loop_
_atom_site_label
_atom_site_type_symbol
_atom_site_fract_x
_atom_site_fract_y
_atom_site_fract_z
_atom_site_occupancy
Ca1 Ca 0.000 0.000 0.000 1
Rh1 Rh 0.500 0.500 0.500 1
O1 O 0.000 0.500 0.500 1
```

Largest 8 diffraction maxima, low angle first, 15° ≤ 2θ ≤ 90°:
| d (Å) | 2theta | I (rel.) | hkl |
| --- | --- | --- | --- |
| 3.954 | 22.48 | 47 | 1 0 0 |
| 2.796 | 32.01 | 100 | 1 1 0 |
| 1.977 | 45.90 | 39 | 2 0 0 |
| 1.768 | 51.69 | 19 | 2 1 0 |
| 1.614 | 57.05 | 38 | 2 1 1 |
| 1.398 | 66.93 | 22 | 2 2 0 |
| 1.318 | 71.59 | 8 | 3 0 0 |
| 1.250 | 76.13 | 16 | 3 1 0 |

Diffraction record for SrBNO. The XRD peak list is calculated, not measured: it uses a structure optimized by DFT (PBE) and Cu Kα, 1.54184 Å.
Peak positions follow from Bragg's law for the DFT cell and can differ from measured ones.

Cell and atoms:
```
data_SrBNO
_chemical_formula_sum 'Sr12 B12 N12 O12'
_symmetry_space_group_name_H-M 'P 1 21/c 1'
_symmetry_Int_Tables_number 14
_cell_length_a 6.672
_cell_length_b 7.915
_cell_length_c 13.523
_cell_angle_alpha 90.00
_cell_angle_beta 117.84
_cell_angle_gamma 90.00
loop_
_symmetry_equiv_pos_as_xyz
'x,y,z'
'-x,-y,-z'
'-x,y+1/2,-z+1/2'
'x,-y+1/2,z+1/2'
loop_
_atom_site_label
_atom_site_type_symbol
_atom_site_fract_x
_atom_site_fract_y
_atom_site_fract_z
_atom_site_occupancy
Sr1 Sr 0.031 0.112 0.387 1
Sr2 Sr 0.040 0.636 0.394 1
Sr3 Sr 0.434 0.122 0.824 1
B1 B 0.242 0.626 0.794 1
B2 B 0.398 0.223 0.105 1
B3 B 0.402 0.532 0.112 1
N1 N 0.271 0.123 0.601 1
N2 N 0.351 0.039 0.320 1
N3 N 0.356 0.710 0.326 1
O1 O 0.001 0.127 0.760 1
O2 O 0.269 0.085 0.040 1
O3 O 0.276 0.676 0.056 1
```

Largest 8 diffraction maxima, low angle first, 15° ≤ 2θ ≤ 90°:
| d (Å) | 2theta | I (rel.) | hkl |
| --- | --- | --- | --- |
| 3.403 | 26.18 | 82 | 1 2 -1 |
| 2.990 | 29.88 | 56 | 0 0 4 |
| 2.977 | 30.01 | 63 | 1 2 1 |
| 2.951 | 30.29 | 48 | 2 0 0 |
| 2.939 | 30.42 | 50 | 1 2 -3 |
| 2.876 | 31.10 | 100 | 2 0 -4 |
| 2.808 | 31.87 | 93 | 0 2 3 |
| 2.229 | 40.46 | 60 | 1 2 -5 |